# 1
For Zn6CuO6, a structure optimized by DFT (PBE) gives the calculated XRD peak list in this record (Cu Kα (weighted mean of Kα1 and Kα2)).

```
data_Zn6CuO6
_chemical_formula_sum 'Zn6 Cu1 O6'
_symmetry_space_group_name_H-M 'P 1'
_symmetry_Int_Tables_number 1
_symmetry_space_group_name_Hall 'P 1'
_cell_length_a 5.688
_cell_length_b 5.688
_cell_length_c 5.688
_cell_angle_alpha 90.00
_cell_angle_beta 90.00
_cell_angle_gamma 90.00
loop_
_atom_site_label
_atom_site_type_symbol
_atom_site_fract_x
_atom_site_fract_y
_atom_site_fract_z
_atom_site_occupancy
Zn1 Zn 0.000 0.248 0.500 1
Zn2 Zn 0.000 0.752 0.500 1
Zn3 Zn 0.248 0.500 0.000 1
Zn4 Zn 0.500 0.000 0.248 1
Zn5 Zn 0.500 0.000 0.752 1
Zn6 Zn 0.752 0.500 0.000 1
Cu1 Cu 0.000 0.000 0.000 1
O1 O 0.000 0.500 0.252 1
O2 O 0.000 0.500 0.748 1
O3 O 0.252 0.000 0.500 1
O4 O 0.500 0.252 0.000 1
O5 O 0.500 0.748 0.000 1
O6 O 0.748 0.000 0.500 1
```

The 10 most intense peaks (5° ≤ 2θ ≤ 70°), sorted by position:
2θ (°)  I (rel.)
15.6  17
22.1  38
31.5  39
35.3  100
38.8  86
50.8  7
56.0  31
58.5  24
60.9  41
65.7  23

---

# 2
For ZnCu2O4, a structure optimized by DFT (PBE) gives the calculated XRD peak list in this record (Cu Kα (weighted mean of Kα1 and Kα2)).

```
data_ZnCu2O4
_chemical_formula_sum 'Zn4 Cu8 O16'
_symmetry_space_group_name_H-M 'P 1'
_symmetry_Int_Tables_number 1
_symmetry_space_group_name_Hall 'P 1'
_cell_length_a 3.094
_cell_length_b 9.988
_cell_length_c 9.248
_cell_angle_alpha 90.00
_cell_angle_beta 90.00
_cell_angle_gamma 90.00
loop_
_atom_site_label
_atom_site_type_symbol
_atom_site_fract_x
_atom_site_fract_y
_atom_site_fract_z
_atom_site_occupancy
Zn1 Zn 0.137 0.152 0.250 1
Zn2 Zn 0.137 0.348 0.750 1
Zn3 Zn 0.863 0.652 0.250 1
Zn4 Zn 0.863 0.848 0.750 1
Cu1 Cu 0.345 0.615 0.570 1
Cu2 Cu 0.345 0.615 0.930 1
Cu3 Cu 0.345 0.885 0.070 1
Cu4 Cu 0.345 0.885 0.430 1
Cu5 Cu 0.655 0.115 0.570 1
Cu6 Cu 0.655 0.115 0.930 1
Cu7 Cu 0.655 0.385 0.070 1
Cu8 Cu 0.655 0.385 0.430 1
O1 O 0.002 0.250 0.000 1
O2 O 0.002 0.250 0.500 1
O3 O 0.357 0.702 0.750 1
O4 O 0.357 0.798 0.250 1
O5 O 0.371 0.544 0.116 1
O6 O 0.371 0.544 0.384 1
O7 O 0.371 0.956 0.616 1
O8 O 0.371 0.956 0.884 1
O9 O 0.629 0.044 0.116 1
O10 O 0.629 0.044 0.384 1
O11 O 0.629 0.456 0.616 1
O12 O 0.629 0.456 0.884 1
O13 O 0.643 0.202 0.750 1
O14 O 0.643 0.298 0.250 1
O15 O 0.998 0.750 0.000 1
O16 O 0.998 0.750 0.500 1
```

The 10 most intense peaks (5° ≤ 2θ ≤ 70°), sorted by position:
2θ (°)  I (rel.)
31.8  22
34.2  100
35.5  29
36.0  64
39.8  15
41.0  36
44.5  20
51.0  19
58.9  21
63.5  17

---

# 3
For ZnCu2O4, a structure optimized by DFT (PBE) gives the calculated XRD peak list in this record (Cu Kα (weighted mean of Kα1 and Kα2)).

```
data_ZnCu2O4
_chemical_formula_sum 'Zn2 Cu4 O8'
_symmetry_space_group_name_H-M 'P 1'
_symmetry_Int_Tables_number 1
_symmetry_space_group_name_Hall 'P 1'
_cell_length_a 6.637
_cell_length_b 6.637
_cell_length_c 6.637
_cell_angle_alpha 131.25
_cell_angle_beta 131.25
_cell_angle_gamma 71.41
loop_
_atom_site_label
_atom_site_type_symbol
_atom_site_fract_x
_atom_site_fract_y
_atom_site_fract_z
_atom_site_occupancy
Zn1 Zn 0.375 0.625 0.750 1
Zn2 Zn 0.625 0.375 0.250 1
Cu1 Cu 0.000 0.000 0.000 1
Cu2 Cu 0.000 0.000 0.500 1
Cu3 Cu 0.000 0.500 0.000 1
Cu4 Cu 0.500 0.000 0.500 1
O1 O 0.226 0.748 0.478 1
O2 O 0.230 0.252 0.978 1
O3 O 0.252 0.230 0.478 1
O4 O 0.252 0.774 0.022 1
O5 O 0.748 0.226 0.978 1
O6 O 0.748 0.770 0.522 1
O7 O 0.770 0.748 0.022 1
O8 O 0.774 0.252 0.522 1
```

The 10 most intense peaks (5° ≤ 2θ ≤ 70°), sorted by position:
2θ (°)  I (rel.)
28.4  36
29.7  100
33.2  21
36.8  19
37.7  87
45.2  29
56.5  16
58.7  58
61.7  24
68.5  17

---

# 4
For ZnCu2O4, a structure optimized by DFT (PBE) gives the calculated XRD peak list in this record (Cu Kα (weighted mean of Kα1 and Kα2)).

```
data_ZnCu2O4
_chemical_formula_sum 'Zn4 Cu8 O16'
_symmetry_space_group_name_H-M 'P 1'
_symmetry_Int_Tables_number 1
_symmetry_space_group_name_Hall 'P 1'
_cell_length_a 3.225
_cell_length_b 9.244
_cell_length_c 10.070
_cell_angle_alpha 89.87
_cell_angle_beta 86.14
_cell_angle_gamma 82.92
loop_
_atom_site_label
_atom_site_type_symbol
_atom_site_fract_x
_atom_site_fract_y
_atom_site_fract_z
_atom_site_occupancy
Zn1 Zn 0.095 0.235 0.159 1
Zn2 Zn 0.173 0.772 0.332 1
Zn3 Zn 0.827 0.228 0.668 1
Zn4 Zn 0.905 0.765 0.841 1
Cu1 Cu 0.247 0.429 0.890 1
Cu2 Cu 0.330 0.068 0.888 1
Cu3 Cu 0.368 0.928 0.615 1
Cu4 Cu 0.469 0.434 0.379 1
Cu5 Cu 0.531 0.566 0.621 1
Cu6 Cu 0.632 0.072 0.385 1
Cu7 Cu 0.670 0.932 0.112 1
Cu8 Cu 0.753 0.571 0.110 1
O1 O 0.015 0.001 0.758 1
O2 O 0.142 0.615 0.972 1
O3 O 0.302 0.246 0.801 1
O4 O 0.320 0.513 0.222 1
O5 O 0.323 0.614 0.459 1
O6 O 0.338 0.117 0.548 1
O7 O 0.420 0.881 0.960 1
O8 O 0.430 0.749 0.706 1
O9 O 0.570 0.251 0.294 1
O10 O 0.580 0.119 0.040 1
O11 O 0.662 0.883 0.452 1
O12 O 0.677 0.386 0.541 1
O13 O 0.680 0.487 0.778 1
O14 O 0.698 0.754 0.199 1
O15 O 0.858 0.385 0.028 1
O16 O 0.985 0.999 0.242 1
```

The 10 most intense peaks (5° ≤ 2θ ≤ 70°), sorted by position:
2θ (°)  I (rel.)
26.2  22
30.4  46
32.7  62
34.2  100
34.4  97
35.7  49
36.2  23
36.8  21
38.0  28
40.3  24

---

# 5
For Zr3Cu3O, a structure optimized by DFT (PBE) gives the calculated XRD peak list in this record (Cu Kα (weighted mean of Kα1 and Kα2)).

```
data_Zr3Cu3O
_chemical_formula_sum 'Zr12 Cu12 O4'
_symmetry_space_group_name_H-M 'P 1'
_symmetry_Int_Tables_number 1
_symmetry_space_group_name_Hall 'P 1'
_cell_length_a 8.428
_cell_length_b 8.428
_cell_length_c 8.428
_cell_angle_alpha 60.00
_cell_angle_beta 60.00
_cell_angle_gamma 60.00
loop_
_atom_site_label
_atom_site_type_symbol
_atom_site_fract_x
_atom_site_fract_y
_atom_site_fract_z
_atom_site_occupancy
Zr1 Zr 0.070 0.070 0.680 1
Zr2 Zr 0.070 0.680 0.070 1
Zr3 Zr 0.070 0.680 0.680 1
Zr4 Zr 0.320 0.320 0.930 1
Zr5 Zr 0.320 0.930 0.320 1
Zr6 Zr 0.320 0.930 0.930 1
Zr7 Zr 0.680 0.070 0.070 1
Zr8 Zr 0.680 0.070 0.680 1
Zr9 Zr 0.680 0.680 0.070 1
Zr10 Zr 0.930 0.320 0.320 1
Zr11 Zr 0.930 0.320 0.930 1
Zr12 Zr 0.930 0.930 0.320 1
Cu1 Cu 0.000 0.500 0.500 1
Cu2 Cu 0.294 0.294 0.294 1
Cu3 Cu 0.294 0.294 0.617 1
Cu4 Cu 0.294 0.617 0.294 1
Cu5 Cu 0.383 0.706 0.706 1
Cu6 Cu 0.500 0.000 0.500 1
Cu7 Cu 0.500 0.500 0.000 1
Cu8 Cu 0.500 0.500 0.500 1
Cu9 Cu 0.617 0.294 0.294 1
Cu10 Cu 0.706 0.383 0.706 1
Cu11 Cu 0.706 0.706 0.383 1
Cu12 Cu 0.706 0.706 0.706 1
O1 O 0.000 0.000 0.000 1
O2 O 0.000 0.000 0.500 1
O3 O 0.000 0.500 0.000 1
O4 O 0.500 0.000 0.000 1
```

The 10 most intense peaks (5° ≤ 2θ ≤ 70°), sorted by position:
2θ (°)  I (rel.)
32.8  13
36.9  38
39.3  100
42.9  34
45.7  9
50.8  6
59.6  6
63.9  8
66.6  36
68.1  9

---

# 6
For ZrCu6O12, a structure optimized by DFT (PBE) gives the calculated XRD peak list in this record (Cu Kα (weighted mean of Kα1 and Kα2)).

```
data_ZrCu6O12
_chemical_formula_sum 'Zr1 Cu6 O12'
_symmetry_space_group_name_H-M 'P 1'
_symmetry_Int_Tables_number 1
_symmetry_space_group_name_Hall 'P 1'
_cell_length_a 5.244
_cell_length_b 6.825
_cell_length_c 7.335
_cell_angle_alpha 113.24
_cell_angle_beta 99.06
_cell_angle_gamma 102.23
loop_
_atom_site_label
_atom_site_type_symbol
_atom_site_fract_x
_atom_site_fract_y
_atom_site_fract_z
_atom_site_occupancy
Zr1 Zr 0.000 0.000 0.000 1
Cu1 Cu 0.098 0.571 0.342 1
Cu2 Cu 0.443 0.637 0.817 1
Cu3 Cu 0.471 0.882 0.274 1
Cu4 Cu 0.529 0.118 0.726 1
Cu5 Cu 0.557 0.363 0.183 1
Cu6 Cu 0.902 0.429 0.658 1
O1 O 0.115 0.715 0.862 1
O2 O 0.208 0.439 0.562 1
O3 O 0.240 0.879 0.445 1
O4 O 0.322 0.175 0.915 1
O5 O 0.354 0.112 0.245 1
O6 O 0.363 0.572 0.206 1
O7 O 0.637 0.428 0.794 1
O8 O 0.646 0.888 0.755 1
O9 O 0.678 0.825 0.085 1
O10 O 0.760 0.121 0.555 1
O11 O 0.792 0.561 0.438 1
O12 O 0.885 0.285 0.138 1
```

The 10 most intense peaks (5° ≤ 2θ ≤ 70°), sorted by position:
2θ (°)  I (rel.)
22.9  57
24.7  100
24.9  68
29.2  78
29.9  67
35.3  70
36.4  50
37.0  80
47.9  39
54.5  39

---

# 7
For Cu3Os2, a structure optimized by DFT (PBE) gives the calculated XRD peak list in this record (Cu Kα (weighted mean of Kα1 and Kα2)).

```
data_Cu3Os2
_chemical_formula_sum 'Cu6 Os4'
_symmetry_space_group_name_H-M 'P 1'
_symmetry_Int_Tables_number 1
_symmetry_space_group_name_Hall 'P 1'
_cell_length_a 2.736
_cell_length_b 2.736
_cell_length_c 17.526
_cell_angle_alpha 90.00
_cell_angle_beta 90.00
_cell_angle_gamma 90.00
loop_
_atom_site_label
_atom_site_type_symbol
_atom_site_fract_x
_atom_site_fract_y
_atom_site_fract_z
_atom_site_occupancy
Cu1 Cu 0.000 0.000 0.000 1
Cu2 Cu 0.000 0.000 0.407 1
Cu3 Cu 0.000 0.000 0.593 1
Cu4 Cu 0.500 0.500 0.093 1
Cu5 Cu 0.500 0.500 0.500 1
Cu6 Cu 0.500 0.500 0.907 1
Os1 Os 0.000 0.000 0.200 1
Os2 Os 0.000 0.000 0.800 1
Os3 Os 0.500 0.500 0.300 1
Os4 Os 0.500 0.500 0.700 1
```

The 10 most intense peaks (5° ≤ 2θ ≤ 70°), sorted by position:
2θ (°)  I (rel.)
10.1  68
36.3  19
41.2  5
41.9  100
47.0  36
48.2  7
49.3  4
52.2  13
64.2  5
68.6  11

---

# 8
For Cu3Os4, a structure optimized by DFT (PBE) gives the calculated XRD peak list in this record (Cu Kα (weighted mean of Kα1 and Kα2)).

```
data_Cu3Os4
_chemical_formula_sum 'Cu3 Os4'
_symmetry_space_group_name_H-M 'P 1'
_symmetry_Int_Tables_number 1
_symmetry_space_group_name_Hall 'P 1'
_cell_length_a 4.622
_cell_length_b 4.622
_cell_length_c 5.002
_cell_angle_alpha 90.00
_cell_angle_beta 90.00
_cell_angle_gamma 120.00
loop_
_atom_site_label
_atom_site_type_symbol
_atom_site_fract_x
_atom_site_fract_y
_atom_site_fract_z
_atom_site_occupancy
Cu1 Cu 0.000 0.500 0.000 1
Cu2 Cu 0.500 0.000 0.000 1
Cu3 Cu 0.500 0.500 0.000 1
Os1 Os 0.000 0.000 0.259 1
Os2 Os 0.000 0.000 0.741 1
Os3 Os 0.333 0.667 0.500 1
Os4 Os 0.667 0.333 0.500 1
```

The 10 most intense peaks (5° ≤ 2θ ≤ 70°), sorted by position:
2θ (°)  I (rel.)
17.7  13
22.2  9
28.6  7
39.0  75
42.6  100
43.1  53
45.3  16
49.0  23
59.1  13
69.5  9